# NdTl2S8
Theoretical powder X-ray diffraction pattern, Cu Kα. Input: a structure optimized by DFT (PBE).
Neutral-atom scattering factors, no anomalous dispersion.

Largest 10 diffraction maxima, most intense first, 15 to 90 degrees two-theta:
| index | 2theta | I (rel.) |
| --- | --- | --- |
| 1 -1 1 | 28.41 | 100 |
| 0 0 3 | 19.93 | 44 |
| 1 1 2 | 27.67 | 44 |
| 0 1 3 | 24.73 | 42 |
| 0 2 1 | 34.74 | 36 |
| 0 0 5 | 33.53 | 32 |
| 0 1 -2 | 23.16 | 30 |
| 1 1 -3 | 35.90 | 29 |
| 1 0 -1 | 22.30 | 27 |
| 1 0 4 | 32.26 | 26 |

abc: 4.334 5.182 13.548
angles: 82.38 84.03 86.87
Space group P-1 (No. 2)
Asymmetric unit:
Nd  0.000  0.000  0.000
Tl  0.409  0.793  0.387
S  0.006  0.674  0.602
S  0.070  0.014  0.786
S  0.137  0.646  0.743
S  0.496  0.368  0.947